Entry 1:
For MgV2Bi4O11, a DFT-relaxed cell (PBE+U, the Materials Project) gives the theoretical powder diffractogram in this record (Cu Kα).
Lines closer than 0.1° are merged.

Structural model:
```
data_MgV2Bi4O11
_symmetry_space_group_name_H-M 'P 1'
_symmetry_Int_Tables_number 1
_cell_length_a 6.2649
_cell_length_b 6.5969
_cell_length_c 8.3962
_cell_angle_alpha 67.27
_cell_angle_beta 83.25
_cell_angle_gamma 71.65
loop_
_symmetry_equiv_pos_as_xyz
'x,y,z'
loop_
_atom_site_label
_atom_site_type_symbol
_atom_site_fract_x
_atom_site_fract_y
_atom_site_fract_z
_atom_site_occupancy
Mg1 Mg 0.0000 0.0000 0.0000 1
V1 V 0.4698 0.2366 0.3783 1
V2 V 0.9758 0.7459 0.3530 1
Bi1 Bi 0.0032 0.4907 0.0281 1
Bi2 Bi 0.4857 0.6544 0.7287 1
Bi3 Bi 0.4987 0.0016 0.0094 1
Bi4 Bi 0.9865 0.2457 0.6180 1
O1 O 0.0918 0.9689 0.2383 1
O2 O 0.1434 0.2578 0.8619 1
O3 O 0.1654 0.7567 0.8946 1
O4 O 0.1946 0.4602 0.3960 1
O5 O 0.3655 0.0185 0.5679 1
O6 O 0.4606 0.2186 0.1738 1
O7 O 0.6825 0.7030 0.8917 1
O8 O 0.7159 0.2620 0.4341 1
O9 O 0.7179 0.1943 0.8571 1
O10 O 0.8160 0.6387 0.5501 1
O11 O 0.8321 0.7680 0.1613 1
```

Top 12 peaks for 2θ from 5° to 70°, low angle first:
(0 0 1), 2θ 11.43, rel. 46; (1 1 0), 2θ 17.96, rel. 51; (1 1 -1), 2θ 24.17, rel. 69; (1 1 2), 2θ 24.38, rel. 100; (0 2 1), 2θ 28.51, rel. 50; (-1 1 2), 2θ 29.38, rel. 86; (2 0 0), 2θ 30.05, rel. 50; (2 2 1), 2θ 34.45, rel. 25; (0 0 3), 2θ 34.75, rel. 17; (1 3 3), 2θ 44.95, rel. 14; (-2 2 1), 2θ 48.41, rel. 15; (2 2 4), 2θ 49.94, rel. 16



Entry 2:
For MnRh2O4, a DFT-relaxed cell (PBE+U, the Materials Project) gives the theoretical powder diffractogram in this record (Cu Kα).
Lines closer than 0.1° are merged.

Structural model:
Unit cell a=8.7633 b=8.7633 c=8.7633 alpha=90.00 beta=90.00 gamma=90.00
Space group Fd-3m (No. 227, origin choice 2)
Symmetry-distinct sites (fractional):
Mn (0.1250, 0.1250, 0.1250)
Rh (0.0000, 0.0000, 0.5000)
O (0.0132, 0.0132, 0.7368)

Top 11 peaks for 2θ from 5° to 70°, low angle first:
(1 1 1), 2θ 17.53, rel. 48; (2 2 0), 2θ 28.82, rel. 13; (3 1 1), 2θ 33.93, rel. 100; (2 2 2), 2θ 35.49, rel. 32; (4 0 0), 2θ 41.21, rel. 33; (3 3 1), 2θ 45.10, rel. 7; (4 2 2), 2θ 51.06, rel. 4; (5 1 1), 2θ 54.40, rel. 38; (4 4 0), 2θ 59.69, rel. 46; (5 3 1), 2θ 62.72, rel. 9; (6 2 0), 2θ 67.61, rel. 2



- Number 1 is which compound?
  MgV2Bi4O11



Repeat the second record exactly.
For MnRh2O4, a DFT-relaxed cell (PBE+U, the Materials Project) gives the theoretical powder diffractogram in this record (Cu Kα).
Lines closer than 0.1° are merged.

Structural model:
Unit cell a=8.7633 b=8.7633 c=8.7633 alpha=90.00 beta=90.00 gamma=90.00
Space group Fd-3m (No. 227, origin choice 2)
Symmetry-distinct sites (fractional):
Mn (0.1250, 0.1250, 0.1250)
Rh (0.0000, 0.0000, 0.5000)
O (0.0132, 0.0132, 0.7368)

Top 11 peaks for 2θ from 5° to 70°, low angle first:
(1 1 1), 2θ 17.53, rel. 48; (2 2 0), 2θ 28.82, rel. 13; (3 1 1), 2θ 33.93, rel. 100; (2 2 2), 2θ 35.49, rel. 32; (4 0 0), 2θ 41.21, rel. 33; (3 3 1), 2θ 45.10, rel. 7; (4 2 2), 2θ 51.06, rel. 4; (5 1 1), 2θ 54.40, rel. 38; (4 4 0), 2θ 59.69, rel. 46; (5 3 1), 2θ 62.72, rel. 9; (6 2 0), 2θ 67.61, rel. 2